[1]
For KDy3F10, the PBE geometry in Alexandria gives the computed powder diffraction line list in this record (Cu Ka).

Cell lengths 11.664, 11.664, 11.664 Å; angles 90.00, 90.00, 90.00 degrees
Space group Fm-3m (No. 225)
Inequivalent atoms, fractional coordinates:
K: 0.250 0.250 0.250 x8
Dy: 0.000 0.000 0.240 x24
F: 0.000 0.165 0.335 x48
F: 0.112 0.112 0.112 x32

Principal peaks in the range 2θ = 10–90°, sorted by position:
d [Å]  2theta  I/Imax
5.832  15.2  21
4.124  21.5  21
3.367  26.5  100
2.916  30.7  41
2.062  43.9  48
1.758  52.0  56
1.684  54.5  13
1.338  70.4  19
1.304  72.5  13
1.190  80.7  17

---

[2]
For KNaDy2F8, the PBE geometry in Alexandria gives the computed powder diffraction line list in this record (Cu Ka).

Cell lengths 3.866, 5.920, 7.709 Å; angles 90.00, 90.00, 90.00 degrees
Space group Pmmm (No. 47)
Inequivalent atoms, fractional coordinates:
K: 0.000 0.000 0.000 x1
Na: 0.000 0.000 0.500 x1
Dy: 0.500 0.500 0.254 x2
F: 0.000 0.286 0.260 x4
F: 0.500 0.278 0.500 x2
F: 0.500 0.292 0.000 x2

Principal peaks in the range 2θ = 10–90°, sorted by position:
d [Å]  2theta  I/Imax
5.920  15.0  59
3.860  23.0  33
3.234  27.6  100
2.730  32.8  11
2.479  36.2  16
2.349  38.3  18
2.007  45.2  47
1.933  47.0  11
1.757  52.0  17
1.657  55.4  28

---

[3]
For LiDy2F8, the PBE geometry in Alexandria gives the computed powder diffraction line list in this record (Cu Ka).

Cell lengths 12.370, 3.919, 6.924 Å; angles 90.00, 99.51, 90.00 degrees
Space group C2/m (No. 12)
Inequivalent atoms, fractional coordinates:
Li: 0.000 0.000 0.000 x2
Dy: 0.235 0.000 0.741 x4
F: 0.065 0.000 0.770 x4
F: 0.088 0.500 0.135 x4
F: 0.192 0.500 0.543 x4
F: 0.236 0.000 0.098 x4

Principal peaks in the range 2θ = 10–90°, sorted by position:
d [Å]  2theta  I/Imax
6.100  14.5  100
3.415  26.1  22
3.346  26.6  43
3.209  27.8  58
3.050  29.3  17
2.508  35.8  12
2.063  43.9  12
1.988  45.6  17
1.909  47.6  12
1.880  48.4  12

---

[4]
For DyMg2F8, the PBE geometry in Alexandria gives the computed powder diffraction line list in this record (Cu Ka).

Cell lengths 5.069, 5.069, 10.741 Å; angles 90.00, 90.00, 90.00 degrees
Space group I4/mmm (No. 139)
Inequivalent atoms, fractional coordinates:
Dy: 0.000 0.000 0.000 x2
Mg: 0.000 0.500 0.250 x4
F: 0.244 0.244 0.135 x16

Principal peaks in the range 2θ = 10–90°, sorted by position:
d [Å]  2theta  I/Imax
4.584  19.4  100
3.584  24.8  12
2.981  30.0  57
2.924  30.6  29
2.218  40.7  27
1.915  47.5  19
1.843  49.4  39
1.792  51.0  20
1.602  57.5  11
1.536  60.2  16

---

[5]
For NaDy2F6, the PBE geometry in Alexandria gives the computed powder diffraction line list in this record (Cu Ka).

Cell lengths 3.994, 3.994, 16.320 Å; angles 90.00, 90.00, 90.00 degrees
Space group I4/mmm (No. 139)
Inequivalent atoms, fractional coordinates:
Na: 0.000 0.000 0.000 x2
Dy: 0.000 0.000 0.343 x4
F: 0.000 0.500 0.094 x8
F: 0.000 0.500 0.250 x4

Principal peaks in the range 2θ = 10–90°, sorted by position:
d [Å]  2theta  I/Imax
8.160  10.8  23
4.080  21.8  18
3.879  22.9  32
3.219  27.7  100
2.824  31.7  15
2.013  45.0  13
1.997  45.4  24
1.959  46.3  39
1.697  54.0  31
1.412  66.2  13